1.
Simulated X-ray powder pattern
Compound: KSrRhO3
Radiation: Cu Kα, 1.54184 Å
Structure: a cell relaxed with PBE
Kinematic intensities with the Lorentz-polarization factor, no thermal factor.

Cell and atoms:
a = 13.515 Å, b = 3.996 Å, c = 7.752 Å
α = 90.00°, β = 106.10°, γ = 90.00°
Space group C2/m (No. 12)
Inequivalent atoms, fractional coordinates:
1 K 0.144 0.000 0.067
2 Sr 0.151 0.000 0.579
3 Rh 0.004 0.500 0.273
4 O 0.004 0.000 0.283
5 O 0.146 0.500 0.792
6 O 0.156 0.500 0.358

Largest 10 diffraction maxima, in order of rising 2θ, 2θ = 10–80°:
Position (°2θ)	I_rel
11.88	36
13.64	36
30.45	60
30.81	40
31.13	40
32.18	100
41.73	35
45.40	24
46.88	20
53.86	17



2.
Simulated X-ray powder pattern
Compound: KTcRhO4
Radiation: Cu Kα, 1.54184 Å
Structure: a cell relaxed with PBE
Kinematic intensities with the Lorentz-polarization factor, no thermal factor.

Cell and atoms:
a = 5.329 Å, b = 6.104 Å, c = 7.324 Å
α = 90.00°, β = 104.45°, γ = 90.00°
Space group P2_1/m (No. 11)
Inequivalent atoms, fractional coordinates:
1 K 0.248 0.250 0.044
2 Tc 0.303 0.750 0.345
3 Rh 0.093 0.250 0.502
4 O 0.037 0.529 0.325
5 O 0.344 0.750 0.108
6 O 0.466 0.250 0.429

Largest 10 diffraction maxima, in order of rising 2θ, 2θ = 10–80°:
Position (°2θ)	I_rel
12.48	100
19.19	27
23.72	39
29.26	42
30.53	20
31.92	13
37.03	21
37.85	18
38.01	14
40.56	23